1.
Calculated powder X-ray diffraction pattern
Compound: Ca5P3CO12
Radiation: CuKα
Structure: DFT lattice parameters and positions (PBE)
Intensities are scaled so that the largest is 100.

Crystal structure
a = 9.718 Å, b = 9.718 Å, c = 6.822 Å
α = 90.00°, β = 90.00°, γ = 120.00°
Fractional coordinates of all 42 atoms:
Ca  0.004  0.263  0.250
Ca  0.259  0.996  0.250
Ca  0.263  0.259  0.750
Ca  0.333  0.667  0.502
Ca  0.333  0.667  0.998
Ca  0.667  0.333  0.002
Ca  0.667  0.333  0.498
Ca  0.737  0.741  0.250
Ca  0.741  0.004  0.750
Ca  0.996  0.737  0.750
P  0.032  0.631  0.250
P  0.369  0.401  0.250
P  0.401  0.032  0.750
P  0.599  0.968  0.250
P  0.631  0.599  0.750
P  0.968  0.369  0.750
C  0.000  0.000  0.250
C  0.000  0.000  0.750
O  0.088  0.740  0.067
O  0.088  0.740  0.433
O  0.126  0.538  0.250
O  0.150  0.486  0.750
O  0.260  0.348  0.067
O  0.260  0.348  0.433
O  0.336  0.850  0.750
O  0.348  0.088  0.567
O  0.348  0.088  0.933
O  0.412  0.874  0.250
O  0.462  0.588  0.250
O  0.486  0.336  0.250
O  0.514  0.664  0.750
O  0.538  0.412  0.750
O  0.588  0.126  0.750
O  0.652  0.912  0.067
O  0.652  0.912  0.433
O  0.664  0.150  0.250
O  0.740  0.652  0.567
O  0.740  0.652  0.933
O  0.850  0.514  0.250
O  0.874  0.462  0.750
O  0.912  0.260  0.567
O  0.912  0.260  0.933

The 8 most intense peaks (10° ≤ 2θ ≤ 90°), sorted by position:
8.416 Å, 10.51 deg, I = 36.8, hkl 1 0 0
3.411 Å, 26.12 deg, I = 31.5, hkl 0 0 2
2.883 Å, 31.02 deg, I = 100.0, hkl 1 2 1
2.805 Å, 31.90 deg, I = 72.4, hkl 3 0 0
2.792 Å, 32.06 deg, I = 52.2, hkl 1 1 2
2.650 Å, 33.83 deg, I = 24.1, hkl 2 0 2
1.979 Å, 45.86 deg, I = 35.3, hkl 2 2 2
1.850 Å, 49.26 deg, I = 31.5, hkl 1 2 3

***

2.
Calculated powder X-ray diffraction pattern
Compound: CaC4S4O4
Radiation: CuKα
Structure: DFT lattice parameters and positions (PBE)
Intensities are scaled so that the largest is 100.

Crystal structure
a = 8.934 Å, b = 10.530 Å, c = 9.368 Å
α = 90.00°, β = 112.26°, γ = 90.00°
Fractional coordinates of all 52 atoms:
Ca  0.083  0.250  0.288
Ca  0.373  0.750  0.695
Ca  0.627  0.250  0.305
Ca  0.917  0.750  0.712
C  0.067  0.181  0.684
C  0.067  0.319  0.684
C  0.213  0.179  0.820
C  0.213  0.321  0.820
C  0.284  0.678  0.152
C  0.284  0.822  0.152
C  0.435  0.681  0.287
C  0.435  0.819  0.287
C  0.565  0.181  0.713
C  0.565  0.319  0.713
C  0.716  0.178  0.848
C  0.716  0.322  0.848
C  0.787  0.679  0.180
C  0.787  0.821  0.180
C  0.933  0.681  0.316
C  0.933  0.819  0.316
S  0.074  0.573  0.417
S  0.074  0.927  0.417
S  0.155  0.582  0.030
S  0.155  0.918  0.030
S  0.333  0.124  0.992
S  0.333  0.376  0.992
S  0.420  0.082  0.602
S  0.420  0.418  0.602
S  0.580  0.582  0.398
S  0.580  0.918  0.398
S  0.667  0.624  0.008
S  0.667  0.876  0.008
S  0.845  0.082  0.970
S  0.845  0.418  0.970
S  0.926  0.073  0.583
S  0.926  0.427  0.583
O  0.054  0.032  0.297
O  0.054  0.468  0.297
O  0.111  0.750  0.607
O  0.288  0.250  0.125
O  0.333  0.250  0.496
O  0.454  0.540  0.708
O  0.454  0.960  0.708
O  0.472  0.250  0.010
O  0.528  0.750  0.990
O  0.546  0.040  0.292
O  0.546  0.460  0.292
O  0.667  0.750  0.504
O  0.712  0.750  0.875
O  0.889  0.250  0.393
O  0.946  0.532  0.703
O  0.946  0.968  0.703

The 8 most intense peaks (10° ≤ 2θ ≤ 90°), sorted by position:
3.795 Å, 23.44 deg, I = 35.7, hkl 2 0 -2
3.570 Å, 24.94 deg, I = 100.0, hkl 2 1 -2
3.280 Å, 27.19 deg, I = 41.5, hkl 2 0 1
3.253 Å, 27.42 deg, I = 22.3, hkl 0 3 1
2.951 Å, 30.29 deg, I = 12.1, hkl 2 0 -3
2.890 Å, 30.94 deg, I = 23.4, hkl 0 0 3
2.676 Å, 33.49 deg, I = 31.0, hkl 2 3 0
2.046 Å, 44.26 deg, I = 17.8, hkl 4 2 -2

***

3.
Calculated powder X-ray diffraction pattern
Compound: Ca3SiCSO24
Radiation: CuKα
Structure: DFT lattice parameters and positions (PBE)
Intensities are scaled so that the largest is 100.

Crystal structure
a = 10.045 Å, b = 9.918 Å, c = 10.048 Å
α = 90.00°, β = 119.98°, γ = 90.00°
Fractional coordinates of all 60 atoms:
Ca  0.004  0.000  0.212
Ca  0.207  0.001  0.995
Ca  0.212  0.500  0.207
Ca  0.788  0.000  0.793
Ca  0.793  0.501  0.005
Ca  0.996  0.500  0.788
Si  0.000  0.229  0.000
Si  0.000  0.729  0.000
C  0.333  0.262  0.666
C  0.667  0.762  0.334
S  0.332  0.717  0.666
S  0.668  0.217  0.334
O  0.000  0.395  0.000
O  0.000  0.895  0.000
O  0.002  0.492  0.400
O  0.003  0.716  0.688
O  0.031  0.663  0.164
O  0.113  0.443  0.385
O  0.129  0.008  0.725
O  0.133  0.663  0.969
O  0.164  0.164  0.133
O  0.173  0.770  0.559
O  0.197  0.262  0.650
O  0.272  0.442  0.888
O  0.274  0.007  0.403
O  0.311  0.716  0.314
O  0.316  0.217  0.003
O  0.335  0.571  0.668
O  0.340  0.950  0.673
O  0.350  0.261  0.548
O  0.385  0.943  0.271
O  0.386  0.771  0.826
O  0.398  0.492  0.998
O  0.399  0.992  0.396
O  0.404  0.509  0.130
O  0.439  0.770  0.613
O  0.452  0.261  0.802
O  0.548  0.761  0.198
O  0.561  0.270  0.387
O  0.596  0.009  0.870
O  0.601  0.492  0.604
O  0.602  0.992  0.002
O  0.614  0.271  0.174
O  0.615  0.443  0.729
O  0.650  0.761  0.452
O  0.660  0.450  0.327
O  0.665  0.071  0.332
O  0.684  0.717  0.997
O  0.689  0.216  0.686
O  0.726  0.507  0.597
O  0.728  0.942  0.112
O  0.803  0.762  0.350
O  0.827  0.270  0.441
O  0.836  0.664  0.867
O  0.867  0.163  0.031
O  0.871  0.508  0.275
O  0.887  0.943  0.615
O  0.969  0.163  0.836
O  0.997  0.216  0.312
O  0.998  0.992  0.600

The 8 most intense peaks (10° ≤ 2θ ≤ 90°), sorted by position:
8.701 Å, 10.17 deg, I = 57.4, hkl 0 0 1
5.024 Å, 17.66 deg, I = 49.7, hkl 2 0 -1
3.529 Å, 25.24 deg, I = 86.9, hkl 1 2 1
3.122 Å, 28.60 deg, I = 100.0, hkl 3 1 -1
2.900 Å, 30.83 deg, I = 33.1, hkl 3 0 -3
2.479 Å, 36.23 deg, I = 46.3, hkl 0 4 0
2.435 Å, 36.92 deg, I = 34.6, hkl 2 1 2
2.332 Å, 38.62 deg, I = 66.6, hkl 1 3 -3